Computed powder diffraction line list
Compound: Tm2Mn2Al2C
Radiation: Cu Kα
Structure: a DFT-relaxed cell (GGA-PBE, Alexandria)
No peak broadening, texture or thermal motion is included.

Cell and atoms:
```
Tm2Mn2Al2C
1.0
5.413 -1.691 0.000
5.413 1.691 0.000
-1.952 0.000 6.226
Tm Mn Al C
2 2 2 1
direct
0.006 0.006 0.256
0.994 0.994 0.744
0.316 0.316 0.939
0.684 0.684 0.061
0.297 0.297 0.356
0.703 0.703 0.644
0.500 0.500 0.000
```

Peak list (8 most intense, 2θ from 10° to 90°, sorted by position)
2θ 17.17, intensity 73; 2θ 27.76, intensity 65; 2θ 28.70, intensity 63; 2θ 37.27, intensity 98; 2θ 37.99, intensity 87; 2θ 38.34, intensity 100; 2θ 42.28, intensity 35; 2θ 52.69, intensity 40

***

Computed powder diffraction line list
Compound: HgRh5
Radiation: Cu Kα
Structure: a DFT-relaxed cell (GGA-PBE, Alexandria)
No peak broadening, texture or thermal motion is included.

Cell and atoms:
```
HgRh5
1.0
1.963 -5.943 0.000
1.963 5.943 0.000
0.000 0.000 3.916
Hg Rh
1 5
direct
0.000 0.000 0.000
0.173 0.827 0.500
0.326 0.674 0.000
0.500 0.500 0.500
0.674 0.326 0.000
0.827 0.173 0.500
```

Peak list (8 most intense, 2θ from 10° to 90°, sorted by position)
2θ 39.67, intensity 100; 2θ 45.80, intensity 16; 2θ 46.24, intensity 16; 2θ 46.37, intensity 16; 2θ 80.56, intensity 12; 2θ 81.20, intensity 12; 2θ 81.40, intensity 12; 2θ 85.48, intensity 11

***

Computed powder diffraction line list
Compound: RbLi2HoI6
Radiation: Cu Kα
Structure: a DFT-relaxed cell (GGA-PBE, Alexandria)
No peak broadening, texture or thermal motion is included.

Cell and atoms:
```
RbLi2HoI6
1.0
7.928 0.000 0.000
3.953 6.873 0.000
3.952 2.298 7.288
Rb Li Ho I
1 2 1 6
direct
0.000 0.000 0.000
0.202 0.200 0.395
0.711 0.711 0.866
0.520 0.521 0.438
0.114 0.781 0.643
0.366 0.529 0.169
0.461 0.113 0.644
0.529 0.936 0.168
0.780 0.462 0.644
0.935 0.367 0.169
```

Peak list (8 most intense, 2θ from 10° to 90°, sorted by position)
2θ 13.51, intensity 20; 2θ 15.23, intensity 21; 2θ 20.77, intensity 20; 2θ 25.57, intensity 100; 2θ 27.21, intensity 28; 2θ 33.39, intensity 50; 2θ 39.35, intensity 28; 2θ 43.70, intensity 26

***

Computed powder diffraction line list
Compound: Ce2PmGa
Radiation: Cu Kα
Structure: a DFT-relaxed cell (GGA-PBE, Alexandria)
No peak broadening, texture or thermal motion is included.

Cell and atoms:
```
Ce2PmGa
1.0
5.620 0.000 0.000
0.000 6.561 0.000
-1.836 0.000 5.710
Ce Pm Ga
4 2 2
direct
0.081 0.037 0.236
0.081 0.463 0.236
0.919 0.537 0.764
0.919 0.963 0.764
0.446 0.250 0.834
0.554 0.750 0.166
0.381 0.750 0.640
0.619 0.250 0.360
```

Peak list (8 most intense, 2θ from 10° to 90°, sorted by position)
2θ 29.47, intensity 28; 2θ 31.33, intensity 41; 2θ 32.00, intensity 100; 2θ 32.32, intensity 56; 2θ 33.34, intensity 35; 2θ 33.62, intensity 27; 2θ 41.42, intensity 36; 2θ 56.58, intensity 26

***

Computed powder diffraction line list
Compound: PrErTeP
Radiation: Cu Kα
Structure: a DFT-relaxed cell (GGA-PBE, Alexandria)
No peak broadening, texture or thermal motion is included.

Cell and atoms:
```
PrErTeP
1.0
2.073 1.197 7.351
-2.073 1.197 7.351
0.000 -2.393 7.351
Pr Er Te P
1 1 1 1
direct
0.000 0.000 0.000
0.807 0.807 0.807
0.232 0.232 0.232
0.410 0.410 0.410
```

Peak list (8 most intense, 2θ from 10° to 90°, sorted by position)
2θ 25.13, intensity 36; 2θ 26.11, intensity 19; 2θ 29.70, intensity 49; 2θ 32.15, intensity 100; 2θ 38.00, intensity 21; 2θ 43.67, intensity 50; 2θ 48.45, intensity 19; 2θ 55.25, intensity 21

***

Computed powder diffraction line list
Compound: Tm2TlTe
Radiation: Cu Kα
Structure: a DFT-relaxed cell (GGA-PBE, Alexandria)
No peak broadening, texture or thermal motion is included.

Cell and atoms:
```
Tm2TlTe
1.0
1.993 1.151 8.398
-1.993 1.151 8.398
0.000 -2.301 8.398
Tm Tl Te
2 1 1
direct
0.000 0.000 0.000
0.176 0.176 0.176
0.755 0.755 0.755
0.587 0.587 0.587
```

Peak list (8 most intense, 2θ from 10° to 90°, sorted by position)
2θ 26.78, intensity 28; 2θ 29.51, intensity 23; 2θ 31.41, intensity 100; 2θ 36.05, intensity 53; 2θ 43.09, intensity 18; 2θ 45.52, intensity 49; 2θ 56.35, intensity 19; 2θ 64.47, intensity 32

***

Computed powder diffraction line list
Compound: CeTeAu
Radiation: Cu Kα
Structure: a DFT-relaxed cell (GGA-PBE, Alexandria)
No peak broadening, texture or thermal motion is included.

Cell and atoms:
```
CeTeAu
1.0
4.692 0.000 0.000
-2.346 4.063 0.000
0.000 0.000 4.478
Ce Te Au
1 1 1
direct
0.000 0.000 0.000
0.333 0.667 0.434
0.667 0.333 0.730
```

Peak list (8 most intense, 2θ from 10° to 90°, sorted by position)
2θ 29.69, intensity 100; 2θ 38.37, intensity 54; 2θ 46.30, intensity 33; 2θ 49.25, intensity 25; 2θ 61.65, intensity 14; 2θ 64.10, intensity 22; 2θ 75.00, intensity 16; 2θ 89.73, intensity 10

***

Computed powder diffraction line list
Compound: CsRb2AgCl4
Radiation: Cu Kα
Structure: a DFT-relaxed cell (GGA-PBE, Alexandria)
No peak broadening, texture or thermal motion is included.

Cell and atoms:
```
CsRb2AgCl4
1.0
2.303 -7.817 0.000
2.303 7.817 0.000
0.000 0.000 16.280
Cs Rb Ag Cl
2 4 2 8
direct
0.109 0.891 0.750
0.891 0.109 0.250
0.367 0.633 0.551
0.367 0.633 0.949
0.633 0.367 0.051
0.633 0.367 0.449
0.161 0.839 0.250
0.839 0.161 0.750
0.000 0.000 0.000
0.000 0.000 0.500
0.268 0.732 0.128
0.268 0.732 0.372
0.427 0.573 0.750
0.573 0.427 0.250
0.732 0.268 0.628
0.732 0.268 0.872
```

Peak list (8 most intense, 2θ from 10° to 90°, sorted by position)
2θ 21.84, intensity 35; 2θ 22.75, intensity 26; 2θ 22.90, intensity 49; 2θ 26.40, intensity 52; 2θ 28.09, intensity 100; 2θ 31.74, intensity 24; 2θ 38.55, intensity 25; 2θ 39.12, intensity 28